1.
The following is a theoretical X-ray diffraction stick pattern of BaSrDySbO6. It was derived from a DFT-relaxed cell (GGA-PBE, Alexandria), using λ = 1.5418 Å (Cu Kα).
Kinematic intensities with the Lorentz-polarization factor, no thermal factor.

Most intense lines, 15° ≤ 2θ ≤ 90°, in order of rising 2θ:
(hkl)  d_spacing  two_theta  I (rel.)
1 -1 2  2.983  29.95  100
-1 1 2  2.978  30.01  21
2 2 0  2.114  42.77  12
0 0 4  2.106  42.94  23
1 3 -2  1.725  53.10  13
1 -3 2  1.722  53.21  30
2 0 -4  1.719  53.28  8
2 2 4  1.493  62.16  7
2 2 -4  1.491  62.29  10
1 -1 6  1.333  70.69  9
-1 5 2  1.128  86.24  8
1 -5 2  1.127  86.35  8

Structure:
```
data_BaSrDySbO6
_cell_length_a 5.968
_cell_length_b 5.970
_cell_length_c 8.425
_cell_angle_alpha 89.91
_cell_angle_beta 89.87
_cell_angle_gamma 89.78
_space_group_name_H-M_alt 'P -1'
_space_group_IT_number 2
loop_
_space_group_symop_operation_xyz
'x,y,z'
'-x,-y,-z'
loop_
_atom_site_label
_atom_site_type_symbol
_atom_site_fract_x
_atom_site_fract_y
_atom_site_fract_z
Ba1 Ba 0.009 0.005 0.250
Sr1 Sr 0.486 0.497 0.751
Dy1 Dy 0.000 0.500 0.500
Dy2 Dy 0.500 0.000 0.000
Sb1 Sb 0.000 0.500 0.000
Sb2 Sb 0.500 0.000 0.500
O1 O 0.040 0.461 0.764
O2 O 0.218 0.756 0.992
O3 O 0.247 0.779 0.512
O4 O 0.262 0.290 0.038
O5 O 0.286 0.258 0.461
O6 O 0.479 0.056 0.736
```


2.
The following is a theoretical X-ray diffraction stick pattern of BaTb4DyO12. It was derived from a DFT-relaxed cell (GGA-PBE, Alexandria), using λ = 1.5418 Å (Cu Kα).
Kinematic intensities with the Lorentz-polarization factor, no thermal factor.

Most intense lines, 15° ≤ 2θ ≤ 90°, in order of rising 2θ:
(hkl)  d_spacing  two_theta  I (rel.)
1 1 1  5.037  17.61  77
0 2 0  4.523  19.63  24
2 0 0  4.399  20.19  23
0 0 2  4.186  21.23  36
2 2 0  3.153  28.30  100
0 2 2  3.072  29.07  74
2 0 2  3.032  29.46  69
0 4 0  2.261  39.86  26
4 0 0  2.199  41.04  26
2 3 3  1.857  49.07  27
2 4 2  1.813  50.33  27
4 2 2  1.788  51.07  32

Structure:
```
data_BaTb4DyO12
_cell_length_a 8.797
_cell_length_b 9.046
_cell_length_c 8.372
_cell_angle_alpha 90.00
_cell_angle_beta 90.00
_cell_angle_gamma 90.00
_space_group_name_H-M_alt 'A m m 2'
_space_group_IT_number 38
loop_
_space_group_symop_operation_xyz
'x,y,z'
'-x,-y,z'
'-x,y,z'
'x,-y,z'
'x,y+1/2,z+1/2'
'-x,-y+1/2,z+1/2'
'-x,y+1/2,z+1/2'
'x,-y+1/2,z+1/2'
loop_
_atom_site_label
_atom_site_type_symbol
_atom_site_fract_x
_atom_site_fract_y
_atom_site_fract_z
Ba1 Ba 0.000 0.000 0.000
Tb1 Tb 0.266 0.226 0.337
Dy1 Dy 0.500 0.000 0.649
O1 O 0.000 0.218 0.294
O2 O 0.203 0.201 0.084
O3 O 0.262 0.000 0.796
O4 O 0.342 0.000 0.431
O5 O 0.500 0.211 0.774
```


3.
The following is a theoretical X-ray diffraction stick pattern of Ba2DyTl2O6. It was derived from a DFT-relaxed cell (GGA-PBE, Alexandria), using λ = 1.5418 Å (Cu Kα).
Kinematic intensities with the Lorentz-polarization factor, no thermal factor.

Most intense lines, 15° ≤ 2θ ≤ 90°, in order of rising 2θ:
(hkl)  d_spacing  two_theta  I (rel.)
1 1 0  3.259  27.37  100
0 1 5  3.063  29.15  87
2 0 5  2.232  40.41  39
3 0 0  1.882  48.38  21
1 2 5  1.842  49.50  45
1 0 10  1.735  52.75  19
2 2 0  1.629  56.47  17
3 1 5  1.439  64.81  19
2 1 10  1.386  67.58  18
4 1 0  1.232  77.49  11
2 3 5  1.220  78.36  10
1 3 10  1.188  80.93  11

Structure:
```
data_Ba2DyTl2O6
_cell_length_a 6.5179
_cell_length_b 6.5179
_cell_length_c 18.2357
_cell_angle_alpha 90.00
_cell_angle_beta 90.00
_cell_angle_gamma 120.00
_space_group_name_H-M_alt 'R -3 m'
_space_group_IT_number 166
_space_group_name_Hall '-R 3 2"'
loop_
_atom_site_label
_atom_site_type_symbol
_atom_site_fract_x
_atom_site_fract_y
_atom_site_fract_z
Ba1 Ba 0.0000 0.0000 0.1995
Dy1 Dy 0.0000 0.0000 0.0000
Tl1 Tl 0.0000 0.0000 0.3994
O1 O 0.0402 0.5201 0.7536
```


4.
The following is a theoretical X-ray diffraction stick pattern of BaDyPd2. It was derived from a DFT-relaxed cell (GGA-PBE, Alexandria), using λ = 1.5418 Å (Cu Kα).
Kinematic intensities with the Lorentz-polarization factor, no thermal factor.

Most intense lines, 15° ≤ 2θ ≤ 90°, in order of rising 2θ:
(hkl)  d_spacing  two_theta  I (rel.)
1 0 2  2.637  34.00  100
1 1 0  2.578  34.79  57
1 0 3  2.087  43.35  11
2 0 0  1.823  50.03  20
1 0 4  1.691  54.23  8
1 1 4  1.534  60.33  10
2 1 2  1.500  61.87  35
2 0 4  1.319  71.56  6
2 2 0  1.289  73.45  6
3 0 2  1.158  83.46  8
3 1 0  1.153  83.91  9
1 1 6  1.141  85.00  6

Structure:
```
data_BaDyPd2
_cell_length_a 3.647
_cell_length_b 3.647
_cell_length_c 7.636
_cell_angle_alpha 90.00
_cell_angle_beta 90.00
_cell_angle_gamma 90.00
_space_group_name_H-M_alt 'P 4/m m m'
_space_group_IT_number 123
_space_group_name_Hall '-P 4 2'
loop_
_atom_site_label
_atom_site_type_symbol
_atom_site_fract_x
_atom_site_fract_y
_atom_site_fract_z
Ba1 Ba 0.000 0.000 0.000
Dy1 Dy 0.000 0.000 0.500
Pd1 Pd 0.500 0.500 0.304
```